[1]
Theoretical powder X-ray diffraction pattern
Compound: MgCu2WS4
Radiation: Cu Kα
Structure: a crystal structure in the Materials Project, relaxed with GGA-PBE

Principal peaks in the range 2θ from 10° to 80°, sorted by position:
| Position (°2θ) | I/Imax |
| --- | --- |
| 15.34 | 100 |
| 15.66 | 38 |
| 21.99 | 31 |
| 27.11 | 18 |
| 35.32 | 43 |
| 38.84 | 15 |
| 44.84 | 44 |
| 45.32 | 21 |
| 48.12 | 21 |
| 57.92 | 14 |

Structure:
```
MgCu2WS4
1.0
5.660 0.000 0.000
0.000 5.660 0.000
0.000 0.000 5.777
Mg Cu W S
1 2 1 4
direct
0.000 0.000 0.000 Mg
0.000 0.500 0.000 Cu
0.500 0.000 0.000 Cu
0.500 0.500 0.000 W
0.261 0.261 0.769 S
0.261 0.739 0.231 S
0.739 0.261 0.231 S
0.739 0.739 0.769 S
```

[2]
Theoretical powder X-ray diffraction pattern
Compound: MgCu2WS4
Radiation: Cu Kα
Structure: a crystal structure in the Materials Project, relaxed with GGA-PBE

Principal peaks in the range 2θ from 10° to 80°, sorted by position:
| Position (°2θ) | I/Imax |
| --- | --- |
| 15.68 | 100 |
| 16.27 | 51 |
| 22.67 | 80 |
| 28.03 | 21 |
| 32.87 | 16 |
| 36.61 | 44 |
| 40.30 | 36 |
| 46.29 | 61 |
| 47.17 | 29 |
| 50.02 | 20 |

Structure:
```
MgCu2WS4
1.0
5.449 0.000 0.000
0.000 5.449 0.000
0.000 0.000 5.652
Mg Cu W S
1 2 1 4
direct
0.000 0.000 0.000 Mg
0.000 0.500 0.500 Cu
0.500 0.000 0.500 Cu
0.500 0.500 0.500 W
0.257 0.257 0.261 S
0.257 0.743 0.739 S
0.743 0.257 0.739 S
0.743 0.743 0.261 S
```

[3]
Theoretical powder X-ray diffraction pattern
Compound: MgCu2WS4
Radiation: Cu Kα
Structure: a crystal structure in the Materials Project, relaxed with GGA-PBE

Principal peaks in the range 2θ from 10° to 80°, sorted by position:
| Position (°2θ) | I/Imax |
| --- | --- |
| 14.01 | 100 |
| 17.82 | 80 |
| 26.72 | 14 |
| 26.90 | 14 |
| 33.08 | 12 |
| 35.99 | 14 |
| 36.18 | 14 |
| 37.95 | 13 |
| 43.88 | 22 |
| 44.20 | 22 |

Structure:
```
MgCu2WS4
1.0
3.846 -3.813 0.000
3.846 3.813 0.000
-3.784 0.000 6.320
Mg Cu W S
1 2 1 4
direct
0.000 0.000 0.000 Mg
0.249 0.749 0.505 Cu
0.749 0.249 0.505 Cu
0.269 0.269 0.546 W
0.097 0.613 0.722 S
0.359 0.359 0.285 S
0.613 0.097 0.722 S
0.922 0.922 0.286 S
```

[4]
Theoretical powder X-ray diffraction pattern
Compound: MgCu2WS4
Radiation: Cu Kα
Structure: a crystal structure in the Materials Project, relaxed with GGA-PBE

Principal peaks in the range 2θ from 10° to 80°, sorted by position:
| Position (°2θ) | I/Imax |
| --- | --- |
| 16.37 | 100 |
| 17.61 | 70 |
| 27.62 | 21 |
| 29.29 | 17 |
| 31.44 | 15 |
| 35.65 | 55 |
| 36.26 | 20 |
| 45.07 | 27 |
| 46.28 | 50 |
| 48.26 | 24 |

Structure:
```
MgCu2WS4
1.0
-2.845 2.845 5.416
2.845 -2.845 5.416
2.845 2.845 -5.416
Mg Cu W S
1 2 1 4
direct
0.000 0.000 0.000 Mg
0.000 0.500 0.500 Cu
0.500 0.000 0.500 Cu
0.500 0.500 0.000 W
0.140 0.140 0.524 S
0.384 0.860 0.000 S
0.616 0.616 0.476 S
0.860 0.384 0.000 S
```